No. 1
Diffraction record for ScFe2Ru. The X-ray diffraction stick pattern is theoretical, not measured: it uses DFT lattice parameters and positions (GGA-PBE) and CuKα.

The 6 most intense peaks (10° ≤ 2θ ≤ 90°), by angle:
- 41.50°, d = 2.176 Å, intensity 100
- 41.78°, d = 2.162 Å, intensity 21
- 43.00°, d = 2.104 Å, intensity 24
- 61.50°, d = 1.508 Å, intensity 12
- 76.09°, d = 1.251 Å, intensity 9
- 77.77°, d = 1.228 Å, intensity 14

```
data_ScFe2Ru
_symmetry_space_group_name_H-M 'P m m a'
_symmetry_Int_Tables_number 51
_cell_length_a 4.2072
_cell_length_b 3.1437
_cell_length_c 8.6480
_cell_angle_alpha 90.00
_cell_angle_beta 90.00
_cell_angle_gamma 90.00
loop_
_symmetry_equiv_pos_as_xyz
'x,y,z'
'-x,-y,-z'
'-x+1/2,-y,z'
'x+1/2,y,-z'
'x+1/2,-y,-z'
'-x+1/2,y,z'
'-x,y,-z'
'x,-y,z'
loop_
_atom_site_label
_atom_site_type_symbol
_atom_site_fract_x
_atom_site_fract_y
_atom_site_fract_z
Sc1 Sc 0.2500 0.0000 0.1352
Fe1 Fe 0.2500 0.0000 0.6141
Fe2 Fe 0.2500 0.5000 0.3992
Ru1 Ru 0.2500 0.5000 0.8550
```

---

No. 2
Diffraction record for HgAu4. The X-ray diffraction stick pattern is theoretical, not measured: it uses DFT lattice parameters and positions (GGA-PBE) and CuKα.

The 6 most intense peaks (10° ≤ 2θ ≤ 90°), by angle:
- 35.28°, d = 2.544 Å, intensity 100
- 39.34°, d = 2.290 Å, intensity 75
- 39.83°, d = 2.263 Å, intensity 72
- 50.75°, d = 1.799 Å, intensity 36
- 74.58°, d = 1.272 Å, intensity 24
- 85.30°, d = 1.138 Å, intensity 17

```
data_HgAu4
_symmetry_space_group_name_H-M 'C 1 2/m 1'
_symmetry_Int_Tables_number 12
_cell_length_a 7.8435
_cell_length_b 5.0867
_cell_length_c 5.0548
_cell_angle_alpha 90.00
_cell_angle_beta 109.30
_cell_angle_gamma 90.00
loop_
_symmetry_equiv_pos_as_xyz
'x,y,z'
'-x,-y,-z'
'-x,y,-z'
'x,-y,z'
'x+1/2,y+1/2,z'
'-x+1/2,-y+1/2,-z'
'-x+1/2,y+1/2,-z'
'x+1/2,-y+1/2,z'
loop_
_atom_site_label
_atom_site_type_symbol
_atom_site_fract_x
_atom_site_fract_y
_atom_site_fract_z
Hg1 Hg 0.0000 0.0000 0.0000
Au1 Au 0.0983 0.5000 0.7946
Au2 Au 0.2029 0.0000 0.6039
```

---

No. 3
Diffraction record for AcZn3CuIr. The X-ray diffraction stick pattern is theoretical, not measured: it uses DFT lattice parameters and positions (GGA-PBE) and CuKα.

The 6 most intense peaks (10° ≤ 2θ ≤ 90°), by angle:
- 27.74°, d = 3.216 Å, intensity 62
- 29.83°, d = 2.995 Å, intensity 58
- 31.21°, d = 2.866 Å, intensity 58
- 34.59°, d = 2.593 Å, intensity 51
- 41.55°, d = 2.173 Å, intensity 100
- 42.43°, d = 2.131 Å, intensity 97

```
data_AcZn3CuIr
_symmetry_space_group_name_H-M 'C m c m'
_symmetry_Int_Tables_number 63
_symmetry_space_group_name_Hall '-C 2c 2'
_cell_length_a 6.4325
_cell_length_b 12.6334
_cell_length_c 5.6880
_cell_angle_alpha 90.00
_cell_angle_beta 90.00
_cell_angle_gamma 90.00
loop_
_atom_site_label
_atom_site_type_symbol
_atom_site_fract_x
_atom_site_fract_y
_atom_site_fract_z
Ac1 Ac 0.0000 0.2218 0.2500
Zn1 Zn 0.0000 0.3517 0.7500
Zn2 Zn 0.2027 0.0000 0.0000
Cu1 Cu 0.0000 0.4574 0.2500
Ir1 Ir 0.0000 0.1484 0.7500
```